(1)
The following is a simulated PXRD pattern of Pr2ZnP2N6. It was derived from a cell relaxed with PBE, using a wavelength of 1.5418 Å.

Largest 8 diffraction maxima, by intensity, 2θ = 15–90°:
23.40°, rel. 100; 31.69°, rel. 95; 34.92°, rel. 74; 39.77°, rel. 44; 47.86°, rel. 31; 58.55°, rel. 30; 51.72°, rel. 30; 18.14°, rel. 25

Crystal structure
```
Pr2ZnP2N6
1.0
5.6468 0.0000 0.0000
-2.8234 4.8902 0.0000
0.0000 0.0000 6.0407
Pr Zn P N
2 1 2 6
Direct
0.3333 0.6667 0.2966 Pr
0.6667 0.3333 0.7034 Pr
0.0000 0.0000 0.0000 Zn
0.3333 0.6667 0.7891 P
0.6667 0.3333 0.2109 P
0.0954 0.3564 0.7788 N
0.2610 0.9046 0.7788 N
0.3564 0.2610 0.2212 N
0.6436 0.7390 0.7788 N
0.7390 0.0954 0.2212 N
0.9046 0.6436 0.2212 N
```

(2)
The following is a simulated PXRD pattern of PrZr3P4N12. It was derived from a cell relaxed with PBE, using a wavelength of 1.5418 Å.

Largest 8 diffraction maxima, by intensity, 2θ = 15–90°:
28.89°, rel. 100; 21.99°, rel. 40; 33.53°, rel. 35; 48.06°, rel. 28; 36.61°, rel. 22; 27.67°, rel. 21; 56.42°, rel. 18; 62.65°, rel. 13

Crystal structure
```
PrZr3P4N12
1.0
5.3443 3.0855 2.7674
-5.3443 3.0855 2.7674
0.0000 -6.1711 2.7674
Pr Zr P N
1 3 4 12
Direct
0.0000 0.0000 0.0000 Pr
0.0000 0.5510 0.4490 Zr
0.4490 0.0000 0.5510 Zr
0.5510 0.4490 0.0000 Zr
0.0526 0.5000 0.9474 P
0.5000 0.5000 0.5000 P
0.5000 0.9474 0.0526 P
0.9474 0.0526 0.5000 P
0.0298 0.6344 0.7882 N
0.0946 0.9054 0.5000 N
0.2118 0.3656 0.9702 N
0.3529 0.6471 0.5000 N
0.3656 0.9702 0.2118 N
0.5000 0.0946 0.9054 N
0.5000 0.3529 0.6471 N
0.6344 0.7882 0.0298 N
0.6471 0.5000 0.3529 N
0.7882 0.0298 0.6344 N
0.9054 0.5000 0.0946 N
0.9702 0.2118 0.3656 N
```

(3)
The following is a simulated PXRD pattern of Pu2P2N5. It was derived from a cell relaxed with PBE, using a wavelength of 1.5418 Å.

Largest 8 diffraction maxima, by intensity, 2θ = 15–90°:
31.05°, rel. 100; 26.20°, rel. 54; 38.40°, rel. 48; 25.12°, rel. 46; 33.26°, rel. 42; 15.15°, rel. 41; 36.18°, rel. 30; 39.65°, rel. 29

Crystal structure
```
Pu2P2N5
1.0
5.0170 -1.8103 0.0000
5.0170 1.8103 0.0000
-0.8430 0.0000 5.8498
Pu P N
2 2 5
Direct
0.1081 0.1081 0.3534 Pu
0.8919 0.8919 0.6466 Pu
0.3486 0.3486 0.0964 P
0.6514 0.6514 0.9036 P
0.1832 0.1832 0.9648 N
0.3538 0.3538 0.3775 N
0.5000 0.5000 0.0000 N
0.6462 0.6462 0.6225 N
0.8168 0.8168 0.0352 N
```

(4)
The following is a simulated PXRD pattern of Pu3PN6. It was derived from a cell relaxed with PBE, using a wavelength of 1.5418 Å.

Largest 8 diffraction maxima, by intensity, 2θ = 15–90°:
30.82°, rel. 100; 31.06°, rel. 36; 21.17°, rel. 30; 31.29°, rel. 26; 46.92°, rel. 24; 34.06°, rel. 22; 47.40°, rel. 22; 31.98°, rel. 20

Crystal structure
```
Pu3PN6
1.0
4.4353 -5.5974 0.0000
4.4353 5.5974 0.0000
0.0000 0.0000 5.2652
Pu P N
6 2 12
Direct
0.1058 0.8942 0.5000 Pu
0.1967 0.4130 0.4730 Pu
0.4130 0.1967 0.9730 Pu
0.5870 0.8033 0.4730 Pu
0.8033 0.5870 0.9730 Pu
0.8942 0.1058 0.0000 Pu
0.3075 0.6925 0.9219 P
0.6925 0.3075 0.4219 P
0.0953 0.6130 0.7793 N
0.1453 0.1692 0.7311 N
0.1692 0.1453 0.2311 N
0.2920 0.7080 0.2343 N
0.3870 0.9047 0.7793 N
0.4456 0.5544 0.8090 N
0.5544 0.4456 0.3090 N
0.6130 0.0953 0.2793 N
0.7080 0.2920 0.7343 N
0.8308 0.8547 0.7311 N
0.8547 0.8308 0.2311 N
0.9047 0.3870 0.2793 N
```

(5)
The following is a simulated PXRD pattern of Pu3PN2. It was derived from a cell relaxed with PBE, using a wavelength of 1.5418 Å.

Largest 8 diffraction maxima, by intensity, 2θ = 15–90°:
33.93°, rel. 100; 28.86°, rel. 94; 25.07°, rel. 54; 37.62°, rel. 35; 44.51°, rel. 32; 57.93°, rel. 29; 59.66°, rel. 27; 45.75°, rel. 23

Crystal structure
```
Pu3PN2
1.0
3.7135 0.0000 0.0000
0.0000 4.7816 0.0000
0.0000 0.0000 12.1694
Pu P N
6 2 4
Direct
0.0000 0.0000 0.0000 Pu
0.0000 0.5000 0.1843 Pu
0.0000 0.5000 0.8157 Pu
0.5000 0.0000 0.3157 Pu
0.5000 0.0000 0.6843 Pu
0.5000 0.5000 0.5000 Pu
0.0000 0.0000 0.5000 P
0.5000 0.5000 0.0000 P
0.0000 0.0000 0.2043 N
0.0000 0.0000 0.7957 N
0.5000 0.5000 0.2957 N
0.5000 0.5000 0.7043 N
```

(6)
The following is a simulated PXRD pattern of PuPN3. It was derived from a cell relaxed with PBE, using a wavelength of 1.5418 Å.

Largest 8 diffraction maxima, by intensity, 2θ = 15–90°:
27.84°, rel. 100; 28.47°, rel. 55; 25.40°, rel. 33; 43.53°, rel. 24; 36.72°, rel. 22; 51.45°, rel. 22; 51.07°, rel. 21; 47.11°, rel. 19

Crystal structure
```
PuPN3
1.0
2.5818 -5.9170 0.0000
2.5818 5.9170 0.0000
0.0000 0.0000 4.3547
Pu P N
2 2 6
Direct
0.1652 0.8348 0.7500 Pu
0.8348 0.1652 0.2500 Pu
0.4202 0.5798 0.7500 P
0.5798 0.4202 0.2500 P
0.1156 0.4475 0.8817 N
0.3391 0.3391 0.5000 N
0.4475 0.1156 0.1183 N
0.5525 0.8844 0.6183 N
0.6609 0.6609 0.0000 N
0.8844 0.5525 0.3817 N
```